Computed powder diffractogram
Compound: Li4Cr3Ni3Te2O16
Radiation: Cu Kα X-rays
Structure: a structure optimized by DFT (GGA+U)
Kinematic intensities with the Lorentz-polarization factor, no thermal factor.

Most intense lines, 10° ≤ 2θ ≤ 80°, in order of falling intensity:
d_spacing, 2θ/deg, intensity
4.560, 19.47, 100
4.535, 19.58, 70
2.539, 35.36, 64
2.738, 32.71, 38
3.535, 25.19, 35
4.509, 19.69, 34
2.516, 35.69, 34
2.018, 44.91, 31

Unit cell a=10.2740 b=5.9622 c=9.6440 alpha=90.00 beta=90.76 gamma=90.00
Space group Cm (No. 8)
Unique sites:
Li  0.0000  0.0000  0.0000
Li  0.0028  0.0000  0.5029
Li  0.1638  0.5000  0.9242
Li  0.3325  0.0000  0.4219
Cr  0.0889  0.2557  0.2276
Cr  0.1761  0.0000  0.7306
Ni  0.3319  0.5000  0.2270
Ni  0.4178  0.2435  0.7256
Te  0.1726  0.5000  0.4997
Te  0.3388  0.0000  0.9986
O  0.0055  0.0000  0.3160
O  0.0159  0.0000  0.8113
O  0.0210  0.5000  0.3604
O  0.0899  0.2568  0.6060
O  0.1652  0.5000  0.1224
O  0.1738  0.0000  0.1086
O  0.2393  0.2752  0.3655
O  0.2543  0.2162  0.8631
O  0.3193  0.0000  0.6238
O  0.3348  0.5000  0.6027
O  0.4191  0.2447  0.1027
O  0.4809  0.0000  0.8648